For RbTaSnO6, a PBE-relaxed structure gives the simulated powder diffractogram in this record (Cu Kα (weighted mean of Kα1 and Kα2)).
No peak broadening, texture or thermal motion is included.

The 6 most intense peaks (2θ = 10–80°), in order of rising 2θ:
h k l	two_theta	d_spacing	intensity
0 0 1	15.04	5.889	100.0
1 1 -1	22.96	3.873	82.7
0 2 1	23.53	3.781	53.5
1 1 1	23.70	3.753	74.8
1 3 0	31.27	2.861	60.8
1 3 2	44.58	2.032	54.2

Structural model:
a b c (Å): 5.805 9.865 5.893
angles (deg): 90.00 92.11 90.00
Space group C2 (No. 5)
Symmetry-distinct sites (fractional):
Rb (0.000, 0.000, 0.000) x2
Ta (0.000, 0.348, 0.500) x2
Sn (0.000, 0.657, 0.500) x2
O (0.087, 0.494, 0.707) x4
O (0.209, 0.210, 0.670) x4
O (0.222, 0.796, 0.672) x4